# 1
Starting from the PBE geometry in Alexandria, the X-ray powder pattern of Li2CuCO4 was computed for Cu Kα (weighted mean of Kα1 and Kα2).

Most intense lines, 10 to 90 degrees two-theta, by angle:
Position (°2θ), I_rel
12.2, 52
17.0, 22
18.3, 74
23.5, 26
25.5, 57
26.2, 100
36.2, 35
38.1, 22
43.4, 18
47.9, 17

Atomic structure:
Lattice parameters (Å, degrees): 7.476 5.028 10.762 90.00 104.77 90.00
Fractional coordinates of all 32 atoms:
Li: 0.124 0.165 0.300
Li: 0.124 0.335 0.800
Li: 0.200 0.177 0.581
Li: 0.200 0.323 0.081
Li: 0.800 0.677 0.919
Li: 0.800 0.823 0.419
Li: 0.876 0.665 0.200
Li: 0.876 0.835 0.700
Cu: 0.448 0.656 0.691
Cu: 0.448 0.844 0.191
Cu: 0.552 0.156 0.809
Cu: 0.552 0.344 0.309
C: 0.162 0.678 0.447
C: 0.162 0.822 0.947
C: 0.838 0.178 0.053
C: 0.838 0.322 0.553
O: 0.046 0.681 0.861
O: 0.046 0.819 0.361
O: 0.173 0.074 0.939
O: 0.173 0.426 0.439
O: 0.266 0.689 0.045
O: 0.266 0.811 0.545
O: 0.346 0.153 0.235
O: 0.346 0.347 0.735
O: 0.654 0.653 0.265
O: 0.654 0.847 0.765
O: 0.734 0.189 0.455
O: 0.734 0.311 0.955
O: 0.827 0.574 0.561
O: 0.827 0.926 0.061
O: 0.954 0.181 0.639
O: 0.954 0.319 0.139

---

# 2
Starting from the PBE geometry in Alexandria, the X-ray powder pattern of Li4Cu2C4SO16 was computed for Cu Kα (weighted mean of Kα1 and Kα2).

Most intense lines, 10 to 90 degrees two-theta, by angle:
Position (°2θ), I_rel
11.5, 100
21.2, 62
22.4, 54
22.8, 58
23.2, 26
27.3, 23
27.9, 26
33.1, 32
37.9, 20
40.7, 23

Atomic structure:
Lattice parameters (Å, degrees): 9.637 9.533 9.147 62.07 60.93 57.00
Fractional coordinates of all 54 atoms:
Li: 0.081 0.669 0.081
Li: 0.081 0.669 0.669
Li: 0.331 0.919 0.331
Li: 0.331 0.919 0.919
Li: 0.669 0.081 0.081
Li: 0.669 0.081 0.669
Li: 0.919 0.331 0.331
Li: 0.919 0.331 0.919
Cu: 0.000 0.500 0.500
Cu: 0.500 0.000 0.500
Cu: 0.500 0.500 0.000
Cu: 0.500 0.500 0.500
C: 0.263 0.656 0.294
C: 0.288 0.294 0.656
C: 0.294 0.288 0.263
C: 0.344 0.737 0.712
C: 0.656 0.263 0.288
C: 0.706 0.712 0.737
C: 0.712 0.706 0.344
C: 0.737 0.344 0.706
S: 0.125 0.125 0.125
S: 0.875 0.875 0.875
O: 0.045 0.320 0.069
O: 0.066 0.069 0.320
O: 0.069 0.066 0.045
O: 0.126 0.651 0.425
O: 0.143 0.420 0.276
O: 0.145 0.307 0.660
O: 0.276 0.662 0.143
O: 0.298 0.425 0.651
O: 0.307 0.145 0.388
O: 0.320 0.045 0.066
O: 0.338 0.724 0.580
O: 0.340 0.612 0.855
O: 0.349 0.874 0.702
O: 0.388 0.660 0.307
O: 0.420 0.143 0.662
O: 0.425 0.298 0.126
O: 0.575 0.702 0.874
O: 0.580 0.857 0.338
O: 0.612 0.340 0.693
O: 0.651 0.126 0.298
O: 0.660 0.388 0.145
O: 0.662 0.276 0.420
O: 0.680 0.955 0.934
O: 0.693 0.855 0.612
O: 0.702 0.575 0.349
O: 0.724 0.338 0.857
O: 0.855 0.693 0.340
O: 0.857 0.580 0.724
O: 0.874 0.349 0.575
O: 0.931 0.934 0.955
O: 0.934 0.931 0.680
O: 0.955 0.680 0.931

---

# 3
Starting from the PBE geometry in Alexandria, the X-ray powder pattern of Li6Cu2C4SO16 was computed for Cu Kα (weighted mean of Kα1 and Kα2).

Most intense lines, 10 to 90 degrees two-theta, by angle:
Position (°2θ), I_rel
11.6, 36
22.3, 100
27.0, 36
35.2, 38
38.5, 35
40.3, 38
45.5, 22
53.2, 17
60.6, 23
61.1, 15

Atomic structure:
Lattice parameters (Å, degrees): 9.356 9.356 9.356 60.00 60.00 60.00
Fractional coordinates of all 58 atoms:
Li: 0.092 0.092 0.658
Li: 0.092 0.658 0.092
Li: 0.092 0.658 0.658
Li: 0.342 0.342 0.908
Li: 0.342 0.908 0.342
Li: 0.342 0.908 0.908
Li: 0.658 0.092 0.092
Li: 0.658 0.092 0.658
Li: 0.658 0.658 0.092
Li: 0.908 0.342 0.342
Li: 0.908 0.342 0.908
Li: 0.908 0.908 0.342
Cu: 0.000 0.500 0.500
Cu: 0.500 0.000 0.500
Cu: 0.500 0.500 0.000
Cu: 0.500 0.500 0.500
C: 0.276 0.276 0.276
C: 0.276 0.276 0.673
C: 0.276 0.673 0.276
C: 0.327 0.724 0.724
C: 0.673 0.276 0.276
C: 0.724 0.327 0.724
C: 0.724 0.724 0.327
C: 0.724 0.724 0.724
S: 0.125 0.125 0.125
S: 0.875 0.875 0.875
O: 0.060 0.060 0.060
O: 0.060 0.060 0.321
O: 0.060 0.321 0.060
O: 0.132 0.284 0.409
O: 0.132 0.409 0.675
O: 0.132 0.675 0.284
O: 0.284 0.132 0.675
O: 0.284 0.409 0.132
O: 0.284 0.675 0.409
O: 0.321 0.060 0.060
O: 0.325 0.591 0.716
O: 0.325 0.716 0.868
O: 0.325 0.868 0.591
O: 0.409 0.132 0.284
O: 0.409 0.284 0.675
O: 0.409 0.675 0.132
O: 0.591 0.325 0.868
O: 0.591 0.716 0.325
O: 0.591 0.868 0.716
O: 0.675 0.132 0.409
O: 0.675 0.284 0.132
O: 0.675 0.409 0.284
O: 0.679 0.940 0.940
O: 0.716 0.325 0.591
O: 0.716 0.591 0.868
O: 0.716 0.868 0.325
O: 0.868 0.325 0.716
O: 0.868 0.591 0.325
O: 0.868 0.716 0.591
O: 0.940 0.679 0.940
O: 0.940 0.940 0.679
O: 0.940 0.940 0.940

---

# 4
Starting from the PBE geometry in Alexandria, the X-ray powder pattern of LiCuCSO7 was computed for Cu Kα (weighted mean of Kα1 and Kα2).

Most intense lines, 10 to 90 degrees two-theta, by angle:
Position (°2θ), I_rel
10.3, 100
17.2, 45
19.6, 36
20.8, 40
22.1, 18
26.2, 35
27.7, 60
28.0, 14
39.7, 19
42.2, 16

Atomic structure:
Lattice parameters (Å, degrees): 5.142 6.446 8.578 90.00 93.86 90.00
Fractional coordinates of all 22 atoms:
Li: 0.221 0.000 0.298
Li: 0.779 0.500 0.702
Cu: 0.221 0.294 0.846
Cu: 0.779 0.794 0.154
C: 0.273 0.283 0.566
C: 0.727 0.783 0.434
S: 0.270 0.798 0.923
S: 0.730 0.298 0.077
O: 0.047 0.297 0.627
O: 0.152 0.810 0.077
O: 0.172 0.615 0.830
O: 0.199 0.978 0.822
O: 0.302 0.245 0.426
O: 0.440 0.282 0.046
O: 0.468 0.305 0.672
O: 0.532 0.805 0.328
O: 0.560 0.782 0.954
O: 0.698 0.745 0.574
O: 0.801 0.478 0.178
O: 0.828 0.115 0.170
O: 0.848 0.310 0.923
O: 0.953 0.797 0.373